(1)
Structure and calculated X-ray powder pattern of Nd8IrRh3Br4 (a crystal structure in Alexandria, relaxed with GGA-PBE; Cu Kα (λ = 1.5418 Å)).
No peak broadening, texture or thermal motion is included.

Largest 12 diffraction maxima, low angle first, 2θ from 10° to 90°:
- d 7.836, rel. 27
- d 3.058, rel. 100
- d 2.449, rel. 16
- d 2.271, rel. 30
- d 2.067, rel. 37
- d 1.835, rel. 11
- d 1.712, rel. 18
- d 1.529, rel. 8
- d 1.422, rel. 6
- d 1.319, rel. 15
- d 1.229, rel. 8
- d 1.193, rel. 6

Crystal structure
Lattice parameters (Å, degrees): 8.268 8.268 9.181 116.83 116.83 60.00
Positions (direct):
1 Nd 0.232 0.232 0.695
2 Nd 0.232 0.733 0.696
3 Nd 0.267 0.768 0.304
4 Nd 0.268 0.268 0.305
5 Nd 0.732 0.732 0.695
6 Nd 0.733 0.232 0.696
7 Nd 0.768 0.267 0.304
8 Nd 0.768 0.768 0.305
9 Ir 0.000 0.000 0.500
10 Rh 0.000 0.500 0.500
11 Rh 0.500 0.000 0.500
12 Rh 0.500 0.500 0.500
13 Br 0.000 0.000 0.000
14 Br 0.000 0.500 0.000
15 Br 0.500 0.000 0.000
16 Br 0.500 0.500 0.000

=====

(2)
Structure and calculated X-ray powder pattern of IrBrO2 (a crystal structure in Alexandria, relaxed with GGA-PBE; Cu Kα (λ = 1.5418 Å)).
No peak broadening, texture or thermal motion is included.

Largest 12 diffraction maxima, low angle first, 2θ from 10° to 90°:
- d 5.941, rel. 47
- d 2.970, rel. 38
- d 2.719, rel. 100
- d 2.404, rel. 54
- d 2.228, rel. 14
- d 1.756, rel. 32
- d 1.648, rel. 27
- d 1.512, rel. 18
- d 1.441, rel. 27
- d 1.409, rel. 16
- d 1.359, rel. 10
- d 1.103, rel. 11

Crystal structure
Lattice parameters (Å, degrees): 6.238 6.238 6.238 30.64 30.64 30.64
Positions (direct):
1 Ir 0.000 0.000 0.000
2 Br 0.500 0.500 0.500
3 O 0.382 0.382 0.382
4 O 0.618 0.618 0.618

=====

(3)
Structure and calculated X-ray powder pattern of Rb2IrBr6O (a crystal structure in Alexandria, relaxed with GGA-PBE; Cu Kα (λ = 1.5418 Å)).
No peak broadening, texture or thermal motion is included.

Largest 12 diffraction maxima, low angle first, 2θ from 10° to 90°:
- d 6.143, rel. 82
- d 5.819, rel. 37
- d 3.616, rel. 30
- d 3.071, rel. 63
- d 2.910, rel. 100
- d 2.882, rel. 29
- d 2.308, rel. 27
- d 2.216, rel. 30
- d 2.057, rel. 32
- d 1.833, rel. 28
- d 1.808, rel. 45
- d 1.536, rel. 22

Crystal structure
Lattice parameters (Å, degrees): 7.427 7.427 7.427 112.71 112.71 103.16
Positions (direct):
1 Rb 0.250 0.750 0.500
2 Rb 0.750 0.250 0.500
3 Ir 0.000 0.000 0.000
4 Br 0.216 0.216 0.432
5 Br 0.216 0.784 0.000
6 Br 0.275 0.275 0.000
7 Br 0.725 0.725 0.000
8 Br 0.784 0.216 0.000
9 Br 0.784 0.784 0.568
10 O 0.500 0.500 0.000

=====

(4)
Structure and calculated X-ray powder pattern of Pm2IrBr2 (a crystal structure in Alexandria, relaxed with GGA-PBE; Cu Kα (λ = 1.5418 Å)).
No peak broadening, texture or thermal motion is included.

Largest 12 diffraction maxima, low angle first, 2θ from 10° to 90°:
- d 3.470, rel. 37
- d 3.256, rel. 33
- d 3.120, rel. 37
- d 2.680, rel. 100
- d 2.405, rel. 49
- d 2.279, rel. 16
- d 2.050, rel. 74
- d 2.015, rel. 21
- d 1.771, rel. 15
- d 1.628, rel. 22
- d 1.359, rel. 26
- d 1.275, rel. 20

Crystal structure
Lattice parameters (Å, degrees): 11.148 11.148 11.148 21.19 21.19 21.19
Positions (direct):
1 Pm 0.117 0.117 0.117
2 Pm 0.883 0.883 0.883
3 Ir 0.500 0.500 0.500
4 Br 0.390 0.390 0.390
5 Br 0.610 0.610 0.610

=====

(5)
Structure and calculated X-ray powder pattern of PmIrBr (a crystal structure in Alexandria, relaxed with GGA-PBE; Cu Kα (λ = 1.5418 Å)).
No peak broadening, texture or thermal motion is included.

Largest 12 diffraction maxima, low angle first, 2θ from 10° to 90°:
- d 3.144, rel. 22
- d 3.083, rel. 58
- d 2.670, rel. 33
- d 2.651, rel. 50
- d 2.613, rel. 54
- d 2.593, rel. 26
- d 2.160, rel. 100
- d 2.130, rel. 24
- d 2.121, rel. 18
- d 1.851, rel. 22
- d 1.423, rel. 18
- d 1.406, rel. 18

Crystal structure
Lattice parameters (Å, degrees): 4.320 4.320 11.111 91.44 91.44 60.03
Positions (direct):
1 Pm 0.007 0.007 0.170
2 Pm 0.993 0.993 0.830
3 Ir 0.333 0.333 0.004
4 Ir 0.667 0.667 0.996
5 Br 0.319 0.319 0.664
6 Br 0.681 0.681 0.336

=====

(6)
Structure and calculated X-ray powder pattern of Pm8Ir3RhBr4 (a crystal structure in Alexandria, relaxed with GGA-PBE; Cu Kα (λ = 1.5418 Å)).
No peak broadening, texture or thermal motion is included.

Largest 12 diffraction maxima, low angle first, 2θ from 10° to 90°:
- d 7.755, rel. 38
- d 3.048, rel. 100
- d 2.435, rel. 19
- d 2.257, rel. 30
- d 2.066, rel. 38
- d 1.997, rel. 8
- d 1.821, rel. 12
- d 1.710, rel. 18
- d 1.524, rel. 9
- d 1.318, rel. 16
- d 1.240, rel. 7
- d 1.226, rel. 8

Crystal structure
Lattice parameters (Å, degrees): 9.105 9.105 9.105 53.98 53.98 53.98
Positions (direct):
1 Pm 0.230 0.732 0.732
2 Pm 0.231 0.231 0.231
3 Pm 0.268 0.268 0.770
4 Pm 0.268 0.770 0.268
5 Pm 0.732 0.230 0.732
6 Pm 0.732 0.732 0.230
7 Pm 0.769 0.769 0.769
8 Pm 0.770 0.268 0.268
9 Ir 0.000 0.000 0.500
10 Ir 0.000 0.500 0.000
11 Ir 0.500 0.000 0.000
12 Rh 0.500 0.500 0.500
13 Br 0.000 0.000 0.000
14 Br 0.000 0.500 0.500
15 Br 0.500 0.000 0.500
16 Br 0.500 0.500 0.000

=====

(7)
Structure and calculated X-ray powder pattern of Pu4IrBr5 (a crystal structure in Alexandria, relaxed with GGA-PBE; Cu Kα (λ = 1.5418 Å)).
No peak broadening, texture or thermal motion is included.

Largest 12 diffraction maxima, low angle first, 2θ from 10° to 90°:
- d 8.362, rel. 98
- d 2.995, rel. 23
- d 2.937, rel. 54
- d 2.787, rel. 81
- d 2.704, rel. 100
- d 2.598, rel. 49
- d 2.470, rel. 69
- d 2.448, rel. 27
- d 2.291, rel. 46
- d 2.145, rel. 47
- d 1.868, rel. 26
- d 1.830, rel. 34

Crystal structure
Lattice parameters (Å, degrees): 3.547 8.790 9.928 72.18 84.53 86.18
Positions (direct):
1 Pu 0.060 0.471 0.250
2 Pu 0.192 0.202 0.056
3 Pu 0.808 0.798 0.944
4 Pu 0.940 0.529 0.750
5 Ir 0.500 0.500 0.000
6 Br 0.225 0.836 0.179
7 Br 0.388 0.833 0.681
8 Br 0.500 0.500 0.500
9 Br 0.612 0.167 0.319
10 Br 0.775 0.164 0.821

=====

(8)
Structure and calculated X-ray powder pattern of RbIrBr5 (a crystal structure in Alexandria, relaxed with GGA-PBE; Cu Kα (λ = 1.5418 Å)).
No peak broadening, texture or thermal motion is included.

Largest 12 diffraction maxima, low angle first, 2θ from 10° to 90°:
- d 6.906, rel. 79
- d 6.665, rel. 100
- d 4.470, rel. 21
- d 3.948, rel. 58
- d 3.239, rel. 35
- d 3.023, rel. 38
- d 2.913, rel. 28
- d 2.699, rel. 24
- d 2.499, rel. 31
- d 2.319, rel. 33
- d 2.222, rel. 26
- d 1.734, rel. 25

Crystal structure
Lattice parameters (Å, degrees): 8.824 8.824 7.691 111.21 111.21 103.01
Positions (direct):
1 Rb 0.119 0.881 0.750
2 Rb 0.881 0.119 0.250
3 Ir 0.000 0.500 0.000
4 Ir 0.500 0.000 0.500
5 Br 0.155 0.507 0.787
6 Br 0.168 0.832 0.250
7 Br 0.216 0.409 0.206
8 Br 0.409 0.216 0.706
9 Br 0.493 0.845 0.713
10 Br 0.507 0.155 0.287
11 Br 0.591 0.784 0.294
12 Br 0.784 0.591 0.794
13 Br 0.832 0.168 0.750
14 Br 0.845 0.493 0.213